The following is a simulated powder diffractogram of LaCoH6Rh. It was derived from the GGA-PBE geometry in Alexandria, using Cu Kα.
Intensities are scaled so that the largest is 1000.

Principal peaks in the range 10° ≤ 2θ ≤ 90°, in order of rising 2θ:
d (Å)	I/Imax	(hkl)
2.943	1000	1 0 1
2.316	463	1 1 0
2.165	122	0 0 2
1.820	243	2 0 1
1.582	283	1 1 2
1.431	217	2 1 1
1.358	91	1 0 3
1.138	94	3 0 2

Structural model:
```
data_LaCoH6Rh
_chemical_formula_sum 'La1 Co1 H6 Rh1'
_symmetry_space_group_name_H-M 'P -6 m 2'
_symmetry_Int_Tables_number 187
_symmetry_space_group_name_Hall 'P -6 2'
_cell_length_a 4.6323
_cell_length_b 4.6323
_cell_length_c 4.3305
_cell_angle_alpha 90.00
_cell_angle_beta 90.00
_cell_angle_gamma 120.00
loop_
_atom_site_label
_atom_site_type_symbol
_atom_site_fract_x
_atom_site_fract_y
_atom_site_fract_z
_atom_site_occupancy
La1 La 0.0000 0.0000 0.0000 1
Co1 Co 0.6667 0.3333 0.5000 1
H1 H 0.5084 0.0167 0.2513 1
Rh1 Rh 0.3333 0.6667 0.5000 1
```